(1)
The following is a calculated X-ray powder pattern of NdDy2Cu4Sn4. It was derived from a cell relaxed with PBE, using Cu Kα (λ = 1.5418 Å).

Crystal structure
```
data_NdDy2Cu4Sn4
_chemical_formula_sum 'Nd2 Dy4 Cu8 Sn8'
_symmetry_space_group_name_H-M 'I m m m'
_symmetry_Int_Tables_number 71
_symmetry_space_group_name_Hall '-I 2 2'
_cell_length_a 4.4752
_cell_length_b 7.0373
_cell_length_c 14.7842
_cell_angle_alpha 90.00
_cell_angle_beta 90.00
_cell_angle_gamma 90.00
loop_
_atom_site_label
_atom_site_type_symbol
_atom_site_fract_x
_atom_site_fract_y
_atom_site_fract_z
Nd1 Nd 0.0000 0.0000 0.0000
Dy1 Dy 0.0000 0.5000 0.1315
Cu1 Cu 0.0000 0.3120 0.3295
Sn1 Sn 0.0000 0.0000 0.2179
Sn2 Sn 0.0000 0.1980 0.5000
```

The 8 most intense peaks (2θ = 10–80°), low angle first:
hkl, d (Å), I_rel
1 2 1, 2.720, 100
1 1 4, 2.641, 84
0 0 6, 2.465, 17
2 0 0, 2.238, 35
0 3 3, 2.118, 20
1 2 5, 2.021, 22
2 3 3, 1.538, 14
1 5 4, 1.262, 15

(2)
The following is a calculated X-ray powder pattern of PrDyCu2P4. It was derived from a cell relaxed with PBE, using Cu Kα (λ = 1.5418 Å).

Crystal structure
```
data_PrDyCu2P4
_chemical_formula_sum 'Pr1 Dy1 Cu2 P4'
_symmetry_space_group_name_H-M 'P 4 m m'
_symmetry_Int_Tables_number 99
_cell_length_a 3.7674
_cell_length_b 3.7674
_cell_length_c 9.9073
_cell_angle_alpha 90.00
_cell_angle_beta 90.00
_cell_angle_gamma 90.00
loop_
_symmetry_equiv_pos_as_xyz
'x,y,z'
'-y,x,z'
'-x,-y,z'
'y,-x,z'
'-x,y,z'
'y,x,z'
'x,-y,z'
'-y,-x,z'
loop_
_atom_site_label
_atom_site_type_symbol
_atom_site_fract_x
_atom_site_fract_y
_atom_site_fract_z
Pr1 Pr 0.0000 0.0000 0.0000
Dy1 Dy 0.5000 0.5000 0.5350
Cu1 Cu 0.0000 0.5000 0.2727
P1 P 0.0000 0.0000 0.4247
P2 P 0.0000 0.5000 0.7599
P3 P 0.5000 0.5000 0.1246
```

The 8 most intense peaks (2θ = 10–80°), low angle first:
hkl, d (Å), I_rel
1 0 1, 3.521, 70
1 0 2, 2.999, 12
0 0 4, 2.481, 61
1 1 2, 2.346, 100
2 0 0, 1.884, 30
1 0 5, 1.754, 16
2 1 1, 1.661, 17
2 0 4, 1.500, 34

(3)
The following is a calculated X-ray powder pattern of SmDyCu2P4. It was derived from a cell relaxed with PBE, using Cu Kα (λ = 1.5418 Å).

Crystal structure
```
data_SmDyCu2P4
_chemical_formula_sum 'Sm1 Dy1 Cu2 P4'
_symmetry_space_group_name_H-M 'P 4 m m'
_symmetry_Int_Tables_number 99
_cell_length_a 3.7497
_cell_length_b 3.7497
_cell_length_c 9.8252
_cell_angle_alpha 90.00
_cell_angle_beta 90.00
_cell_angle_gamma 90.00
loop_
_symmetry_equiv_pos_as_xyz
'x,y,z'
'-y,x,z'
'-x,-y,z'
'y,-x,z'
'-x,y,z'
'y,x,z'
'x,-y,z'
'-y,-x,z'
loop_
_atom_site_label
_atom_site_type_symbol
_atom_site_fract_x
_atom_site_fract_y
_atom_site_fract_z
Sm1 Sm 0.0000 0.0000 0.0000
Dy1 Dy 0.5000 0.5000 0.5358
Cu1 Cu 0.0000 0.5000 0.2725
P1 P 0.0000 0.0000 0.4257
P2 P 0.0000 0.5000 0.7639
P3 P 0.5000 0.5000 0.1203
```

The 8 most intense peaks (2θ = 10–80°), low angle first:
hkl, d (Å), I_rel
1 0 1, 3.503, 71
1 0 3, 2.467, 41
0 0 4, 2.456, 20
1 1 2, 2.333, 100
2 0 0, 1.875, 30
2 1 1, 1.653, 17
2 1 3, 1.493, 17
2 0 4, 1.490, 16